(1)
Hg2Bi5Sb: computed X-ray diffraction stick pattern (Cu Kα (weighted mean of Kα1 and Kα2)), based on a cell relaxed with GGA-PBE.

Crystal structure
Lattice parameters (Å, degrees): 6.1078 7.0175 7.4903 65.01 72.27 75.63
Atoms (fractional coordinates):
Hg1 0.0000 0.0000 0.0000
Hg2 0.4998 0.1671 0.8018
Bi1 0.0137 0.3124 0.4934
Bi2 0.2776 0.5878 0.8120
Bi3 0.4915 0.1400 0.2600
Bi4 0.7033 0.8336 0.6367
Bi5 0.7253 0.5337 0.1618
Sb1 0.2398 0.6958 0.3866

Peak list (10 most intense, 10° ≤ 2θ ≤ 90°, in order of falling intensity)
27.90°, I 100; 32.33°, I 46; 26.82°, I 45; 25.14°, I 43; 28.31°, I 31; 36.03°, I 28; 33.81°, I 27; 37.86°, I 25; 26.38°, I 25; 29.81°, I 24

---

(2)
RbLiMgS2: computed X-ray diffraction stick pattern (Cu Kα (weighted mean of Kα1 and Kα2)), based on a cell relaxed with GGA-PBE.

Crystal structure
Lattice parameters (Å, degrees): 7.0035 7.0035 10.2539 119.80 119.80 34.17
Atoms (fractional coordinates):
Rb1 0.1666 0.1666 0.1321
Rb2 0.8334 0.8334 0.8679
Li1 0.3446 0.3446 0.5640
Li2 0.6554 0.6554 0.4360
Mg1 0.0339 0.0339 0.6743
Mg2 0.9661 0.9661 0.3257
S1 0.1624 0.1624 0.5686
S2 0.4608 0.4608 0.1886
S3 0.5392 0.5392 0.8114
S4 0.8376 0.8376 0.4314

Peak list (10 most intense, 10° ≤ 2θ ≤ 90°, in order of falling intensity)
27.94°, I 100; 32.00°, I 63; 26.96°, I 62; 31.53°, I 42; 53.48°, I 42; 34.95°, I 41; 33.48°, I 36; 27.32°, I 32; 44.01°, I 30; 22.97°, I 26

---

(3)
SrNpGaO6: computed X-ray diffraction stick pattern (Cu Kα (weighted mean of Kα1 and Kα2)), based on a cell relaxed with GGA-PBE.

Crystal structure
Lattice parameters (Å, degrees): 5.3461 5.3461 10.9361 90.00 90.00 120.00
Atoms (fractional coordinates):
Sr1 0.0000 0.0000 0.0000
Sr2 0.0000 0.0000 0.5000
Np1 0.3333 0.6667 0.2500
Np2 0.6667 0.3333 0.7500
Ga1 0.3333 0.6667 0.7500
Ga2 0.6667 0.3333 0.2500
O1 0.0018 0.3710 0.6478
O2 0.0018 0.6308 0.8522
O3 0.3692 0.3710 0.8522
O4 0.3692 0.9982 0.6478
O5 0.3710 0.0018 0.1478
O6 0.3710 0.3692 0.3522
O7 0.6290 0.6308 0.6478
O8 0.6290 0.9982 0.8522
O9 0.6308 0.0018 0.3522
O10 0.6308 0.6290 0.1478
O11 0.9982 0.3692 0.1478
O12 0.9982 0.6290 0.3522

Peak list (10 most intense, 10° ≤ 2θ ≤ 90°, in order of falling intensity)
25.20°, I 100; 47.57°, I 57; 33.52°, I 48; 16.21°, I 47; 20.83°, I 47; 37.45°, I 28; 42.40°, I 23; 55.10°, I 23; 31.23°, I 18; 59.94°, I 16

---

(4)
Tm3ScPb4: computed X-ray diffraction stick pattern (Cu Kα (weighted mean of Kα1 and Kα2)), based on a cell relaxed with GGA-PBE.

Crystal structure
Lattice parameters (Å, degrees): 10.9317 6.2963 6.2968 90.00 90.00 90.00
Atoms (fractional coordinates):
Tm1 0.0000 0.0005 0.0000
Tm2 0.2500 0.2559 0.2505
Tm3 0.2500 0.7441 0.7505
Tm4 0.5000 0.9995 0.5000
Tm5 0.7500 0.2559 0.2505
Tm6 0.7500 0.7441 0.7505
Sc1 0.0000 0.5003 0.5004
Sc2 0.5000 0.4997 0.0004
Pb1 0.0000 0.0004 0.5001
Pb2 0.0000 0.5004 0.0002
Pb3 0.2502 0.2465 0.7505
Pb4 0.2498 0.7535 0.2505
Pb5 0.5000 0.9996 0.0001
Pb6 0.5000 0.4996 0.5002
Pb7 0.7498 0.2465 0.7505
Pb8 0.7502 0.7535 0.2505

Peak list (10 most intense, 10° ≤ 2θ ≤ 90°, in order of falling intensity)
32.82°, I 100; 68.85°, I 29; 40.52°, I 23; 53.06°, I 21; 58.53°, I 16; 87.59°, I 13; 58.65°, I 8; 82.90°, I 6; 21.55°, I 5; 16.24°, I 3

---

(5)
Ho6TmPu: computed X-ray diffraction stick pattern (Cu Kα (weighted mean of Kα1 and Kα2)), based on a cell relaxed with GGA-PBE.

Crystal structure
Lattice parameters (Å, degrees): 6.8812 12.0740 6.9162 90.00 119.37 90.00
Atoms (fractional coordinates):
Ho1 0.2321 0.2199 0.2480
Ho2 0.2321 0.7801 0.2480
Ho3 0.2360 0.0000 0.7590
Ho4 0.2640 0.5000 0.2410
Ho5 0.2679 0.2801 0.7520
Ho6 0.2679 0.7199 0.7520
Ho7 0.7321 0.2801 0.2480
Ho8 0.7321 0.7199 0.2480
Ho9 0.7360 0.5000 0.7590
Ho10 0.7640 0.0000 0.2410
Ho11 0.7679 0.2199 0.7520
Ho12 0.7679 0.7801 0.7520
Tm1 0.0000 0.5000 0.5000
Tm2 0.5000 0.0000 0.5000
Pu1 0.0000 0.0000 0.0000
Pu2 0.5000 0.5000 0.0000

Peak list (10 most intense, 10° ≤ 2θ ≤ 90°, in order of falling intensity)
29.60°, I 100; 30.01°, I 100; 34.04°, I 91; 26.66°, I 65; 42.65°, I 59; 33.23°, I 40; 45.90°, I 39; 33.36°, I 37; 46.12°, I 37; 59.84°, I 30